(1)
Starting from a structure optimized by DFT (GGA-PBE), the powder diffraction line list of AlFe7 was simulated for a wavelength of 1.5418 Å.

Peak list (9 most intense, 10 to 90 degrees two-theta, in order of rising 2θ)
2θ (°), I (rel.)
15.45, 24
23.25, 19
31.17, 7
32.16, 12
44.66, 1000
47.53, 5
57.96, 6
65.01, 147
82.32, 286

Cell lengths 4.059, 4.059, 11.472 Å; angles 90.00, 90.00, 90.00 degrees
Fractional coordinates of all 16 atoms:
Al 0.000 0.000 0.000
Al 0.500 0.500 0.500
Fe 0.000 0.000 0.248
Fe 0.000 0.000 0.500
Fe 0.000 0.000 0.752
Fe 0.000 0.500 0.129
Fe 0.000 0.500 0.371
Fe 0.000 0.500 0.629
Fe 0.000 0.500 0.871
Fe 0.500 0.000 0.129
Fe 0.500 0.000 0.371
Fe 0.500 0.000 0.629
Fe 0.500 0.000 0.871
Fe 0.500 0.500 0.000
Fe 0.500 0.500 0.252
Fe 0.500 0.500 0.748

(2)
Starting from a structure optimized by DFT (GGA-PBE), the powder diffraction line list of Nd4TlTeN was simulated for a wavelength of 1.5418 Å.

Peak list (12 most intense, 10 to 90 degrees two-theta, in order of rising 2θ)
2θ (°), I (rel.)
25.66, 205
27.91, 629
32.78, 358
33.83, 1000
36.60, 596
49.94, 390
52.64, 105
52.82, 104
62.65, 182
63.56, 94
64.08, 160
64.20, 159

Cell lengths 8.902, 8.902, 6.955 Å; angles 90.00, 90.00, 134.17 degrees
Fractional coordinates of all 14 atoms:
Nd 0.000 0.500 0.000
Nd 0.000 0.500 0.500
Nd 0.088 0.912 0.750
Nd 0.410 0.590 0.750
Nd 0.500 0.000 0.000
Nd 0.500 0.000 0.500
Nd 0.590 0.410 0.250
Nd 0.912 0.088 0.250
Tl 0.109 0.891 0.250
Tl 0.891 0.109 0.750
Te 0.391 0.609 0.250
Te 0.609 0.391 0.750
N 0.244 0.756 0.750
N 0.756 0.244 0.250